For Cs15K, a GGA-PBE-relaxed structure gives the theoretical powder diffractogram in this record (Cu Kα).

Atomic structure:
Lattice parameters (Å, degrees): 10.926 10.926 17.589 90.00 90.00 120.00
Atoms (fractional coordinates):
1 Cs 0.000 0.000 0.000
2 Cs 0.003 0.502 0.500
3 Cs 0.329 0.164 0.256
4 Cs 0.329 0.164 0.744
5 Cs 0.333 0.667 0.246
6 Cs 0.333 0.667 0.754
7 Cs 0.498 0.502 0.500
8 Cs 0.498 0.997 0.500
9 Cs 0.502 0.003 0.000
10 Cs 0.502 0.498 0.000
11 Cs 0.836 0.164 0.256
12 Cs 0.836 0.164 0.744
13 Cs 0.836 0.671 0.256
14 Cs 0.836 0.671 0.744
15 Cs 0.997 0.498 0.000
16 K 0.000 0.000 0.500

The 10 most intense peaks (10° ≤ 2θ ≤ 90°), sorted by position:
18.76°, I = 23
20.19°, I = 25
21.33°, I = 100
27.70°, I = 17
32.79°, I = 22
36.04°, I = 25
38.81°, I = 27
39.45°, I = 20
52.20°, I = 17
60.66°, I = 11